Structure and computed powder XRD pattern of PmNpRh2O8 (a crystal structure in Alexandria, relaxed with GGA-PBE; Cu Kα, 1.54184 Å).
Kinematic intensities with the Lorentz-polarization factor, no thermal factor.

Structural model:
Unit cell a=4.849 b=6.733 c=4.853 alpha=90.00 beta=91.28 gamma=90.00
Space group P2/m (No. 10)
Inequivalent atoms, fractional coordinates:
Pm1 0.000 0.000 0.000 x1
Np1 0.000 0.500 0.000 x1
Rh1 0.500 0.251 0.500 x2
O1 0.203 0.276 0.202 x4
O2 0.316 0.500 0.683 x2
O3 0.329 0.000 0.669 x2

Top 8 peaks for 10° ≤ 2θ ≤ 90°, in order of falling intensity:
| two_theta | I (rel.) | (hkl) |
| --- | --- | --- |
| 32.37 | 100 | 1 2 0 |
| 25.69 | 59 | 1 0 -1 |
| 26.28 | 53 | 1 0 1 |
| 49.69 | 41 | 2 2 -1 |
| 50.37 | 37 | 2 2 1 |
| 37.08 | 29 | 0 0 2 |
| 63.88 | 22 | 0 2 3 |
| 18.29 | 15 | 1 0 0 |

Structure and computed powder XRD pattern of DySc3Rh4 (a crystal structure in Alexandria, relaxed with GGA-PBE; Cu Kα, 1.54184 Å).
Kinematic intensities with the Lorentz-polarization factor, no thermal factor.

Structural model:
Unit cell a=4.6361 b=4.6361 c=22.7750 alpha=90.00 beta=90.00 gamma=120.00
Space group R-3m (No. 166, hexagonal axes)
Inequivalent atoms, fractional coordinates:
Dy1 0.0000 0.0000 0.0000 x3
Sc1 0.0000 0.0000 0.2473 x6
Sc2 0.0000 0.0000 0.5000 x3
Rh1 0.0000 0.0000 0.1273 x6
Rh2 0.0000 0.0000 0.3780 x6

Top 8 peaks for 10° ≤ 2θ ≤ 90°, in order of falling intensity:
| two_theta | I (rel.) | (hkl) |
| --- | --- | --- |
| 38.81 | 100 | 1 1 0 |
| 70.31 | 25 | 3 0 0 |
| 56.06 | 17 | 2 0 8 |
| 70.15 | 8 | 1 0 16 |
| 23.48 | 6 | 0 1 2 |
| 83.39 | 5 | 2 2 0 |
| 83.20 | 5 | 0 2 16 |
| 22.49 | 5 | 1 0 1 |

Structure and computed powder XRD pattern of BaCu2Hg2O4 (a crystal structure in Alexandria, relaxed with GGA-PBE; Cu Kα, 1.54184 Å).
Kinematic intensities with the Lorentz-polarization factor, no thermal factor.

Structural model:
Unit cell a=7.005 b=7.005 c=6.569 alpha=90.00 beta=90.00 gamma=90.00
Space group P4/nbm (No. 125, origin choice 2)
Inequivalent atoms, fractional coordinates:
Ba1 0.250 0.250 0.000 x2
Cu1 0.000 0.000 0.500 x4
Hg1 0.250 0.750 0.242 x4
O1 0.041 0.541 0.227 x8

Top 8 peaks for 10° ≤ 2θ ≤ 90°, in order of falling intensity:
| two_theta | I (rel.) | (hkl) |
| --- | --- | --- |
| 32.72 | 100 | 1 1 2 |
| 36.27 | 69 | 2 2 0 |
| 49.64 | 60 | 3 1 2 |
| 17.91 | 54 | 1 1 0 |
| 28.89 | 39 | 2 0 1 |
| 25.43 | 36 | 2 0 0 |
| 37.54 | 30 | 2 0 2 |
| 52.23 | 23 | 4 0 0 |